Entry 1:
This entry pairs a crystal structure of Li3MnF5 with its simulated X-ray powder pattern. Radiation: Cu Kα. Structure: a structure optimized by DFT (PBE+U).
Peak positions follow from Bragg's law for the DFT cell and can differ from measured ones.

Structural model:
Lattice parameters (Å, degrees): 5.160 5.767 7.860 96.06 108.01 113.81
Space group P-1 (No. 2)
Inequivalent atoms, fractional coordinates:
Li 0.058 0.440 0.198 [2 per cell]
Li 0.314 0.543 0.587 [2 per cell]
Li 0.344 0.969 0.212 [2 per cell]
Mn 0.000 0.000 0.500 [1 per cell]
Mn 0.500 0.500 0.000 [1 per cell]
F 0.036 0.290 0.957 [2 per cell]
F 0.135 0.719 0.432 [2 per cell]
F 0.244 0.259 0.364 [2 per cell]
F 0.372 0.730 0.828 [2 per cell]
F 0.439 0.253 0.742 [2 per cell]

Principal peaks in the range 15° ≤ 2θ ≤ 90°, by intensity:
| 2theta | d_spacing | I_rel |
| --- | --- | --- |
| 18.49 | 4.798 | 100 |
| 19.32 | 4.595 | 78 |
| 39.53 | 2.280 | 71 |
| 48.93 | 1.862 | 71 |
| 19.80 | 4.484 | 66 |
| 23.93 | 3.719 | 57 |
| 29.12 | 3.067 | 43 |
| 39.18 | 2.299 | 42 |
| 27.73 | 3.217 | 41 |
| 38.07 | 2.363 | 38 |

***

Entry 2:
This entry pairs a crystal structure of Li3MnF6 with its simulated X-ray powder pattern. Radiation: Cu Kα. Structure: a structure optimized by DFT (PBE+U).
Peak positions follow from Bragg's law for the DFT cell and can differ from measured ones.

Structural model:
Lattice parameters (Å, degrees): 5.100 8.951 9.647 90.00 92.62 90.00
Space group Cc (No. 9)
Inequivalent atoms, fractional coordinates:
Li 0.000 0.006 0.000 [4 per cell]
Li 0.475 0.156 0.802 [4 per cell]
Li 0.492 0.170 0.199 [4 per cell]
Mn 0.488 0.166 0.501 [4 per cell]
F 0.135 0.171 0.875 [4 per cell]
F 0.145 0.479 0.884 [4 per cell]
F 0.180 0.167 0.385 [4 per cell]
F 0.291 0.340 0.119 [4 per cell]
F 0.324 0.005 0.626 [4 per cell]
F 0.342 0.315 0.618 [4 per cell]

Principal peaks in the range 15° ≤ 2θ ≤ 90°, by intensity:
| 2theta | d_spacing | I_rel |
| --- | --- | --- |
| 39.29 | 2.293 | 100 |
| 21.76 | 4.085 | 63 |
| 21.90 | 4.059 | 62 |
| 22.43 | 3.964 | 60 |
| 18.41 | 4.818 | 60 |
| 40.82 | 2.211 | 43 |
| 51.34 | 1.780 | 31 |
| 20.06 | 4.427 | 27 |
| 62.98 | 1.476 | 26 |
| 52.62 | 1.739 | 21 |

***

Entry 3:
This entry pairs a crystal structure of LiMnF3 with its simulated X-ray powder pattern. Radiation: Cu Kα. Structure: a structure optimized by DFT (PBE+U).
Peak positions follow from Bragg's law for the DFT cell and can differ from measured ones.

Structural model:
Lattice parameters (Å, degrees): 5.035 8.903 10.775 90.00 90.00 90.00
Space group Pccn (No. 56)
Inequivalent atoms, fractional coordinates:
Li 0.003 0.214 0.099 [8 per cell]
Mn 0.005 0.086 0.362 [8 per cell]
F 0.194 0.098 0.545 [8 per cell]
F 0.222 0.587 0.304 [8 per cell]
F 0.250 0.250 0.276 [4 per cell]
F 0.250 0.750 0.042 [4 per cell]

Principal peaks in the range 15° ≤ 2θ ≤ 90°, by intensity:
| 2theta | d_spacing | I_rel |
| --- | --- | --- |
| 21.89 | 4.060 | 100 |
| 50.45 | 1.809 | 77 |
| 28.01 | 3.186 | 71 |
| 39.01 | 2.309 | 46 |
| 32.22 | 2.778 | 36 |
| 49.56 | 1.839 | 26 |
| 37.88 | 2.375 | 24 |
| 60.23 | 1.536 | 22 |
| 19.26 | 4.609 | 21 |
| 45.34 | 2.000 | 13 |

***

Entry 4:
This entry pairs a crystal structure of LiMnF3 with its simulated X-ray powder pattern. Radiation: Cu Kα. Structure: a structure optimized by DFT (PBE+U).
Peak positions follow from Bragg's law for the DFT cell and can differ from measured ones.

Structural model:
Lattice parameters (Å, degrees): 7.568 10.350 6.480 90.00 90.00 90.00
Space group Cmcm (No. 63)
Inequivalent atoms, fractional coordinates:
Li 0.000 0.000 0.250 [4 per cell]
Li 0.000 0.492 0.250 [4 per cell]
Mn 0.250 0.250 0.000 [8 per cell]
F 0.000 0.362 0.004 [8 per cell]
F 0.177 0.129 0.750 [8 per cell]
F 0.179 0.127 0.250 [8 per cell]

Principal peaks in the range 15° ≤ 2θ ≤ 90°, by intensity:
| 2theta | d_spacing | I_rel |
| --- | --- | --- |
| 17.13 | 5.175 | 100 |
| 51.23 | 1.783 | 66 |
| 29.24 | 3.055 | 59 |
| 32.61 | 2.746 | 50 |
| 23.51 | 3.784 | 47 |
| 40.59 | 2.223 | 30 |
| 44.83 | 2.022 | 25 |
| 31.25 | 2.862 | 18 |
| 59.31 | 1.558 | 17 |
| 56.83 | 1.620 | 15 |